Entry 1:
# NaYHfP2SO12
Calculated PXRD pattern, a wavelength of 1.5418 Å. Input: DFT lattice parameters and positions (GGA-PBE).
Kinematic intensities with the Lorentz-polarization factor, no thermal factor.

Top 10 peaks for 2θ from 10° to 80°, by angle:
index, two_theta, I/Imax
1 1 -1, 13.62, 59
2 0 -2, 18.89, 83
0 2 0, 19.72, 100
0 2 1, 22.79, 35
2 2 -2, 27.48, 33
3 1 1, 30.18, 57
3 1 -3, 30.28, 29
6 0 -2, 34.50, 41
6 2 -4, 46.56, 20
9 1 -3, 53.87, 26

Unit cell a=15.6018 b=9.0021 c=9.3910 alpha=90.00 beta=123.33 gamma=90.00
Space group Cc (No. 9)
Inequivalent atoms, fractional coordinates:
Na  0.0000  0.2339  0.0000
Y  0.3462  0.2585  0.0632
Hf  0.1413  0.2504  0.4467
P  0.1014  0.0956  0.7543
P  0.2380  0.4552  0.2517
S  0.3930  0.1110  0.7513
O  0.0067  0.1641  0.7388
O  0.0989  0.0781  0.2696
O  0.1040  0.1323  0.5920
O  0.1591  0.3635  0.2697
O  0.1765  0.4402  0.5914
O  0.1972  0.1554  0.9130
O  0.2982  0.1748  0.5975
O  0.3053  0.4517  0.9103
O  0.3092  0.3476  0.2380
O  0.3941  0.1359  0.9058
O  0.4015  0.0488  0.2326
O  0.4827  0.1881  0.7650

***

Entry 2:
# KPdO3
Calculated PXRD pattern, a wavelength of 1.5418 Å. Input: DFT lattice parameters and positions (GGA-PBE).
Kinematic intensities with the Lorentz-polarization factor, no thermal factor.

Top 10 peaks for 2θ from 10° to 80°, by angle:
index, two_theta, I/Imax
1 0 0, 21.84, 50
1 1 0, 31.07, 100
1 1 1, 38.30, 1
2 0 0, 44.52, 39
2 1 0, 50.12, 21
2 1 1, 55.29, 38
2 2 0, 64.79, 22
3 0 0, 69.25, 10
3 1 0, 73.59, 16
3 1 1, 77.84, 1

Unit cell a=4.0701 b=4.0701 c=4.0701 alpha=90.00 beta=90.00 gamma=90.00
Space group Pm-3m (No. 221)
Inequivalent atoms, fractional coordinates:
K  0.0000  0.0000  0.0000
Pd  0.5000  0.5000  0.5000
O  0.0000  0.5000  0.5000